Theoretical powder X-ray diffraction pattern of Tb8Dy4Er3 for Cu Kα, 1.54184 Å, from a DFT-relaxed cell (GGA-PBE, Alexandria).
Intensities are scaled so that the largest is 100.

Crystal structure
a = 6.8925 Å, b = 6.8925 Å, c = 35.0967 Å
α = 90.00°, β = 90.00°, γ = 120.00°
Space group R-3m (No. 166, hexagonal axes)
Asymmetric unit:
Tb 0.0000 0.0000 0.2451 x6
Tb 0.0017 0.5009 0.7506 x18
Dy 0.0000 0.0000 0.0000 x3
Dy 0.0000 0.0000 0.3363 x6
Dy 0.0000 0.0000 0.5000 x3
Er 0.0000 0.5000 0.5000 x9

Peak list (8 most intense, 2θ from 15° to 90°, low angle first)
- d 3.306, I = 18, hkl 1 1 3
- d 2.971, I = 28, hkl 0 2 1
- d 2.925, I = 57, hkl 0 0 12
- d 2.826, I = 100, hkl 0 2 4
- d 2.468, I = 73, hkl 2 0 8
- d 1.767, I = 23, hkl 0 2 16
- d 1.723, I = 37, hkl 2 2 0
- d 1.485, I = 45, hkl 2 2 12